The following is a simulated powder X-ray diffraction pattern of SmCu4Si2. It was derived from a structure optimized by DFT (PBE), using Cu Kα (weighted mean of Kα1 and Kα2).

Structural model:
Lattice parameters (Å, degrees): 4.0663 12.7584 4.0857 90.00 90.00 90.00
Space group Cmmm (No. 65)
Unique sites:
Sm: 0.0000 0.0000 0.0000 (multiplicity 2)
Cu: 0.0000 0.1890 0.5000 (multiplicity 4)
Cu: 0.0000 0.3122 0.0000 (multiplicity 4)
Si: 0.0000 0.4046 0.5000 (multiplicity 4)

The 10 most intense peaks (15 to 90 degrees two-theta), in order of rising 2θ:
d = 3.874 Å, 2θ 22.96, I 11, (1 1 0)
d = 3.441 Å, 2θ 25.90, I 15, (0 2 1)
d = 2.939 Å, 2θ 30.41, I 16, (1 3 0)
d = 2.514 Å, 2θ 35.71, I 13, (0 4 1)
d = 2.386 Å, 2θ 37.70, I 100, (1 3 1)
d = 2.043 Å, 2θ 44.34, I 24, (0 0 2)
d = 2.033 Å, 2θ 44.57, I 23, (2 0 0)
d = 1.441 Å, 2θ 64.68, I 15, (2 0 2)
d = 1.236 Å, 2θ 77.20, I 11, (1 3 3)
d = 1.231 Å, 2θ 77.52, I 11, (3 3 1)

---

The following is a simulated powder X-ray diffraction pattern of LaYMgHg. It was derived from a structure optimized by DFT (PBE), using Cu Kα (weighted mean of Kα1 and Kα2).

Structural model:
Lattice parameters (Å, degrees): 3.8159 3.8159 7.8172 90.00 90.00 90.00
Space group P4mm (No. 99)
Unique sites:
La: 0.0000 0.0000 0.0000 (multiplicity 1)
Y: 0.0000 0.0000 0.4918 (multiplicity 1)
Mg: 0.5000 0.5000 0.7289 (multiplicity 1)
Hg: 0.5000 0.5000 0.2745 (multiplicity 1)

The 10 most intense peaks (15 to 90 degrees two-theta), in order of rising 2θ:
d = 3.429 Å, 2θ 25.98, I 31, (1 0 1)
d = 2.730 Å, 2θ 32.80, I 100, (1 0 2)
d = 2.698 Å, 2θ 33.20, I 50, (1 1 0)
d = 2.551 Å, 2θ 35.19, I 13, (1 1 1)
d = 1.954 Å, 2θ 46.47, I 8, (0 0 4)
d = 1.908 Å, 2θ 47.66, I 18, (2 0 0)
d = 1.583 Å, 2θ 58.30, I 17, (1 1 4)
d = 1.564 Å, 2θ 59.07, I 38, (2 1 2)
d = 1.365 Å, 2θ 68.76, I 10, (2 0 4)
d = 1.210 Å, 2θ 79.19, I 9, (3 0 2)

---

The following is a simulated powder X-ray diffraction pattern of CePr2Nd6. It was derived from a structure optimized by DFT (PBE), using Cu Kα (weighted mean of Kα1 and Kα2).

Structural model:
Lattice parameters (Å, degrees): 8.3919 14.0332 5.5032 90.00 90.00 90.00
Space group Cmmm (No. 65)
Unique sites:
Ce: 0.0000 0.0000 0.0000 (multiplicity 2)
Pr: 0.0000 0.2184 0.5000 (multiplicity 4)
Nd: 0.1975 0.3619 0.0000 (multiplicity 8)
Nd: 0.2228 0.5000 0.5000 (multiplicity 4)

The 10 most intense peaks (15 to 90 degrees two-theta), in order of rising 2θ:
d = 3.281 Å, 2θ 27.18, I 58, (1 3 1)
d = 3.013 Å, 2θ 29.65, I 100, (2 2 1)
d = 2.958 Å, 2θ 30.21, I 68, (0 4 1)
d = 2.752 Å, 2θ 32.54, I 58, (0 0 2)
d = 2.743 Å, 2θ 32.64, I 29, (3 1 0)
d = 2.691 Å, 2θ 33.29, I 16, (2 4 0)
d = 2.418 Å, 2θ 37.19, I 41, (2 4 1)
d = 1.943 Å, 2θ 46.76, I 21, (3 1 2)
d = 1.635 Å, 2θ 56.28, I 16, (2 2 3)
d = 1.518 Å, 2θ 61.02, I 23, (5 3 1)